Starting from the GGA+U geometry in Alexandria, the powder X-ray diffraction pattern of MnCdF5 was calculated for Cu Ka.
No peak broadening, texture or thermal motion is included.

Crystal structure
abc: 5.3372 5.3372 7.7391
angles: 103.12 103.12 77.99
Element x y z (fractional)
Mn  0.0301  0.9699  0.7500
Mn  0.9699  0.0301  0.2500
Cd  0.5000  0.5000  0.0000
Cd  0.5000  0.5000  0.5000
F  0.1654  0.8045  0.0646
F  0.1900  0.2738  0.3167
F  0.1955  0.8346  0.4354
F  0.2738  0.1900  0.8167
F  0.3267  0.6733  0.7500
F  0.6733  0.3267  0.2500
F  0.7262  0.8100  0.1833
F  0.8045  0.1654  0.5646
F  0.8100  0.7262  0.6833
F  0.8346  0.1955  0.9354

Main lines, in order of falling intensity (10 to 80 degrees two-theta):
Position (°2θ), intensity
26.92, 100
22.41, 88
26.54, 42
47.09, 31
32.40, 28
45.74, 23
50.68, 18
17.30, 18
38.01, 17
54.72, 17